Simulated powder XRD pattern
Compound: WOF3
Radiation: CuKα
Structure: a cell relaxed with GGA+U
Kinematic intensities with the Lorentz-polarization factor, no thermal factor.

Top 10 peaks for 2θ from 15° to 90°, in order of falling intensity:
- hkl 2 1 0, 2θ 21.87, rel. 100
- hkl 1 0 1, 2θ 25.05, rel. 60
- hkl 1 1 1, 2θ 26.94, rel. 35
- hkl 4 0 0, 2θ 39.68, rel. 30
- hkl 3 0 1, 2θ 37.74, rel. 22
- hkl 2 1 2, 2θ 52.47, rel. 19
- hkl 4 3 1, 2θ 55.91, rel. 18
- hkl 4 1 1, 2θ 47.50, rel. 18
- hkl 3 1 0, 2θ 31.12, rel. 17
- hkl 2 2 1, 2θ 36.38, rel. 16

Atomic structure:
abc: 9.087 9.087 3.862
angles: 90.00 90.00 90.00
Fractional positions:
W (0.135, 0.135, 0.000)
W (0.365, 0.635, 0.500)
W (0.635, 0.365, 0.500)
W (0.865, 0.865, 0.000)
O (0.129, 0.129, 0.500)
O (0.371, 0.629, 0.000)
O (0.629, 0.371, 0.000)
O (0.871, 0.871, 0.500)
F (0.096, 0.904, 0.000)
F (0.112, 0.341, 0.000)
F (0.159, 0.612, 0.500)
F (0.341, 0.112, 0.000)
F (0.388, 0.841, 0.500)
F (0.404, 0.404, 0.500)
F (0.596, 0.596, 0.500)
F (0.612, 0.159, 0.500)
F (0.659, 0.888, 0.000)
F (0.841, 0.388, 0.500)
F (0.888, 0.659, 0.000)
F (0.904, 0.096, 0.000)